(1)
Starting from a structure optimized by DFT (PBE+U), the X-ray powder pattern of SrMoAsH3O8 was computed for CuKα.
No peak broadening, texture or thermal motion is included.

Atomic structure:
```
data_SrMoAsH3O8
_chemical_formula_sum 'Sr8 Mo8 As8 H24 O64'
_cell_length_a 15.6344
_cell_length_b 10.4062
_cell_length_c 9.9170
_cell_angle_alpha 90.00
_cell_angle_beta 120.78
_cell_angle_gamma 90.00
_symmetry_space_group_name_H-M 'C 1 2/c 1'
_symmetry_Int_Tables_number 15
loop_
_symmetry_equiv_pos_as_xyz
'x,y,z'
'-x,-y,-z'
'-x,y,-z+1/2'
'x,-y,z+1/2'
'x+1/2,y+1/2,z'
'-x+1/2,-y+1/2,-z'
'-x+1/2,y+1/2,-z+1/2'
'x+1/2,-y+1/2,z+1/2'
loop_
_atom_site_label
_atom_site_fract_x
_atom_site_fract_y
_atom_site_fract_z
Sr1 0.0899 0.2297 0.1253
Mo1 0.1521 0.4080 0.7720
As1 0.1880 0.0824 0.8228
H1 0.0163 0.1157 0.6790
H2 0.1248 0.2634 0.4725
H3 0.1355 0.1140 0.4643
O1 0.0591 0.3669 0.5788
O2 0.0605 0.0612 0.6623
O3 0.0970 0.1890 0.4026
O4 0.1129 0.3332 0.8926
O5 0.1343 0.4260 0.2865
O6 0.1845 0.0719 0.9916
O7 0.2284 0.2199 0.7801
O8 0.2349 0.0556 0.2924
```

Top 10 peaks for 2θ = 10–80°, by intensity:
d/Å, Position (°2θ), I_rel, (hkl)
3.721, 23.9, 100.0, 4 0 -2
2.887, 31.0, 96.4, 3 3 -1
2.992, 29.9, 91.9, 1 1 -3
4.260, 20.9, 73.7, 0 0 2
3.271, 27.3, 70.4, 1 3 -1
7.141, 12.4, 56.8, 1 1 -1
4.113, 21.6, 36.6, 2 2 0
1.854, 49.1, 36.3, 7 3 -3
3.358, 26.5, 35.3, 4 0 0
6.716, 13.2, 33.6, 2 0 0

---

(2)
Starting from a structure optimized by DFT (PBE+U), the X-ray powder pattern of U2NiAs2H24O24 was computed for CuKα.
No peak broadening, texture or thermal motion is included.

Atomic structure:
```
data_U2NiAs2H24O24
_chemical_formula_sum 'U2 Ni1 As2 H24 O24'
_cell_length_a 7.2367
_cell_length_b 7.2372
_cell_length_c 11.3188
_cell_angle_alpha 82.13
_cell_angle_beta 80.29
_cell_angle_gamma 88.63
_symmetry_space_group_name_H-M 'P -1'
_symmetry_Int_Tables_number 2
loop_
_symmetry_equiv_pos_as_xyz
'x,y,z'
'-x,-y,-z'
loop_
_atom_site_label
_atom_site_fract_x
_atom_site_fract_y
_atom_site_fract_z
U1 0.2283 0.2343 0.0823
Ni1 0.0000 0.5000 0.5000
As1 0.2534 0.7489 0.0011
H1 0.0686 0.2437 0.6851
H2 0.0721 0.6101 0.2492
H3 0.1665 0.9581 0.7732
H4 0.1834 0.2548 0.3877
H5 0.1825 0.9611 0.6339
H6 0.2529 0.6325 0.6119
H7 0.2810 0.7373 0.4786
H8 0.3454 0.3761 0.4068
H9 0.3766 0.8538 0.2729
H10 0.4344 0.1310 0.6757
H11 0.4436 0.6068 0.7671
H12 0.4686 0.4240 0.7008
O1 0.0123 0.6449 0.3278
O2 0.0878 0.8043 0.9090
O3 0.1809 0.1872 0.2474
O4 0.1827 0.6961 0.5492
O5 0.1921 0.5479 0.0992
O6 0.2064 0.0379 0.6948
O7 0.2205 0.3255 0.4489
O8 0.2688 0.9208 0.0892
O9 0.2722 0.2767 0.9180
O10 0.4456 0.5611 0.6887
O11 0.4468 0.7967 0.3352
O12 0.4612 0.7248 0.9052
```

Top 10 peaks for 2θ = 10–80°, by intensity:
d/Å, Position (°2θ), I_rel, (hkl)
3.578, 24.9, 100.0, 2 0 1
3.560, 25.0, 83.8, 0 2 1
5.527, 16.0, 61.8, 0 0 2
4.694, 18.9, 49.9, 0 1 2
5.676, 15.6, 44.7, 0 1 -1
5.057, 17.5, 42.4, 1 1 0
4.053, 21.9, 42.2, 1 0 -2
2.528, 35.5, 39.7, 2 -2 0
3.112, 28.7, 36.4, 0 1 -3
3.523, 25.3, 33.8, 1 0 3

---

(3)
Starting from a structure optimized by DFT (PBE+U), the X-ray powder pattern of U2NiAs2H24O24 was computed for CuKα.
No peak broadening, texture or thermal motion is included.

Atomic structure:
```
data_U2NiAs2H24O24
_chemical_formula_sum 'U2 Ni1 As2 H24 O24'
_cell_length_a 7.1660
_cell_length_b 7.2150
_cell_length_c 11.3043
_cell_angle_alpha 82.31
_cell_angle_beta 84.70
_cell_angle_gamma 89.72
_symmetry_space_group_name_H-M 'P -1'
_symmetry_Int_Tables_number 2
loop_
_symmetry_equiv_pos_as_xyz
'x,y,z'
'-x,-y,-z'
loop_
_atom_site_label
_atom_site_fract_x
_atom_site_fract_y
_atom_site_fract_z
U1 0.2282 0.2227 0.0816
Ni1 0.0000 0.5000 0.5000
As1 0.2597 0.7433 0.0010
H1 0.0989 0.2537 0.6795
H2 0.1715 0.4494 0.6958
H3 0.1720 0.9589 0.7695
H4 0.1770 0.9639 0.6295
H5 0.1977 0.2803 0.3707
H6 0.2692 0.7757 0.4413
H7 0.2820 0.6805 0.5733
H8 0.3484 0.4117 0.4015
H9 0.3744 0.8497 0.2428
H10 0.4355 0.5904 0.7705
H11 0.4518 0.1186 0.6834
H12 0.4698 0.4066 0.7056
O1 0.0614 0.3877 0.6711
O2 0.0895 0.8168 0.9075
O3 0.1902 0.7339 0.5183
O4 0.1954 0.1830 0.2464
O5 0.2032 0.5328 0.0842
O6 0.2129 0.0358 0.6917
O7 0.2277 0.3526 0.4359
O8 0.2585 0.2474 0.9188
O9 0.2829 0.9049 0.0978
O10 0.4230 0.5391 0.6949
O11 0.4328 0.8049 0.3176
O12 0.4594 0.7275 0.9056
```

Top 10 peaks for 2θ = 10–80°, by intensity:
d/Å, Position (°2θ), I_rel, (hkl)
3.571, 24.9, 100.0, 2 0 0
5.577, 15.9, 74.6, 0 0 2
3.494, 25.5, 73.4, 2 0 1
5.683, 15.6, 57.2, 0 1 -1
4.715, 18.8, 56.6, 0 1 2
3.545, 25.1, 56.3, 0 2 1
4.209, 21.1, 56.1, 1 0 -2
3.430, 26.0, 39.6, 1 0 3
2.265, 39.8, 39.3, 0 3 -1
3.211, 27.8, 34.6, 0 2 2